[1]
Calculated XRD peak list of Li3Ni8B8 for λ = 1.5418 Å (Cu Kα), from a DFT-relaxed cell (GGA-PBE, OQMD).
Intensities are scaled so that the largest is 100.

The 12 most intense peaks (2θ = 10–90°), low angle first:
hkl, 2θ/deg, d/Å, I/Imax
0 1 0, 13.4, 6.598, 100
1 0 1, 26.0, 3.432, 10
0 2 0, 27.0, 3.299, 28
1 1 -1, 27.2, 3.275, 12
1 1 -2, 34.2, 2.619, 11
-1 1 2, 37.6, 2.394, 11
1 -1 2, 37.8, 2.382, 12
1 2 2, 39.8, 2.264, 11
0 3 0, 41.0, 2.199, 33
2 1 -1, 48.2, 1.888, 15
2 0 1, 48.9, 1.864, 17
0 1 4, 49.7, 1.833, 9

Crystal structure
```
Li3Ni8B8
1.0
3.921 0.000 0.000
1.327 6.599 0.000
0.039 0.111 7.602
Li Ni B
3 8 8
Cartesian
0.000 0.000 0.000
1.853 0.118 2.345
3.433 6.591 5.257
1.221 4.472 5.650
1.182 2.145 4.200
2.136 4.471 1.865
2.081 2.172 0.392
3.206 4.537 7.210
3.151 2.238 5.738
4.104 4.565 3.402
4.066 2.238 1.952
1.207 4.218 0.062
1.195 2.112 6.187
2.125 4.645 3.850
2.104 2.330 2.406
3.182 4.380 5.197
3.162 2.065 3.753
4.091 4.598 1.415
4.080 2.492 7.540
```

---

[2]
Calculated XRD peak list of TmInGa4Ir for λ = 1.5418 Å (Cu Kα), from a DFT-relaxed cell (GGA-PBE, OQMD).
Intensities are scaled so that the largest is 100.

The 12 most intense peaks (2θ = 10–90°), low angle first:
hkl, 2θ/deg, d/Å, I/Imax
1 0 0, 20.1, 4.428, 31
1 0 1, 23.9, 3.717, 14
0 0 2, 26.1, 3.419, 9
1 1 1, 31.4, 2.847, 14
1 0 2, 33.1, 2.706, 18
1 1 2, 39.0, 2.309, 100
2 0 0, 40.8, 2.214, 53
2 1 2, 53.5, 1.713, 10
2 2 0, 59.0, 1.565, 18
1 1 4, 61.8, 1.500, 9
2 0 4, 69.5, 1.353, 10
3 1 2, 73.0, 1.296, 31

Crystal structure
```
TmInGa4Ir
1.0
4.428 0.000 0.000
0.000 4.428 0.000
0.000 0.000 6.838
Tm In Ga Ir
1 1 4 1
Cartesian
0.000 0.000 0.000
2.214 2.214 0.000
0.000 2.214 2.085
0.000 2.214 4.752
2.214 0.000 2.085
2.214 0.000 4.752
0.000 0.000 3.419
```

---

[3]
Calculated XRD peak list of Nd3Ga10Ni for λ = 1.5418 Å (Cu Kα), from a DFT-relaxed cell (GGA-PBE, OQMD).
Intensities are scaled so that the largest is 100.

The 12 most intense peaks (2θ = 10–90°), low angle first:
hkl, 2θ/deg, d/Å, I/Imax
1 0 4, 31.5, 2.843, 43
1 1 2, 31.9, 2.806, 100
1 1 4, 38.0, 2.369, 11
0 1 6, 41.2, 2.191, 28
1 1 5, 42.1, 2.149, 18
0 2 0, 42.2, 2.141, 32
2 0 0, 42.5, 2.125, 31
0 1 7, 46.6, 1.947, 13
1 0 8, 52.4, 1.745, 14
1 2 4, 53.6, 1.711, 19
2 1 6, 60.7, 1.525, 19
2 2 0, 61.5, 1.508, 20

Crystal structure
```
Nd3Ga10Ni
1.0
4.250 0.000 0.000
0.000 4.283 0.000
0.000 0.000 15.305
Nd Ga Ni
3 10 1
Cartesian
0.000 0.000 0.000
0.000 2.141 3.865
0.000 2.141 11.440
0.000 0.000 6.362
0.000 0.000 8.942
2.125 0.000 2.422
2.125 0.000 4.847
2.125 0.000 10.458
2.125 0.000 12.883
2.125 2.141 1.237
2.125 2.141 6.354
2.125 2.141 8.951
2.125 2.141 14.067
0.000 2.141 7.652
```

---

[4]
Calculated XRD peak list of LaMgCdNi for λ = 1.5418 Å (Cu Kα), from a DFT-relaxed cell (GGA-PBE, OQMD).
Intensities are scaled so that the largest is 100.

The 12 most intense peaks (2θ = 10–90°), low angle first:
hkl, 2θ/deg, d/Å, I/Imax
0 2 1, 20.7, 4.286, 24
0 0 2, 21.4, 4.156, 17
1 1 1, 25.3, 3.521, 21
1 1 2, 31.5, 2.839, 100
1 3 0, 34.3, 2.616, 25
1 3 1, 36.0, 2.495, 64
0 2 3, 37.1, 2.424, 27
0 4 1, 37.6, 2.395, 31
1 1 3, 40.0, 2.256, 16
2 0 0, 42.9, 2.109, 29
0 0 4, 43.6, 2.078, 15
2 4 1, 58.3, 1.583, 17

Crystal structure
```
LaMgCdNi
1.0
4.218 0.000 0.000
0.000 10.004 0.000
0.000 0.000 8.311
La Mg Cd Ni
4 4 4 4
Cartesian
0.000 0.584 0.000
0.000 9.420 4.156
2.109 4.418 4.156
2.109 5.586 0.000
0.000 3.430 6.658
0.000 6.575 2.503
2.109 1.572 2.503
2.109 8.432 6.658
0.000 3.521 1.639
0.000 6.483 5.794
2.109 1.481 5.794
2.109 8.523 1.639
0.000 2.236 4.118
0.000 7.768 8.273
2.109 2.766 8.273
2.109 7.239 4.118
```